(1)
CdAg2Pd5: simulated powder X-ray diffraction pattern (a wavelength of 1.5418 Å), based on the PBE geometry in Alexandria.
No peak broadening, texture or thermal motion is included.

Peak list (5 most intense, 5 to 70 degrees two-theta, by angle)
38.65°, intensity 100, (0 4 1); 44.84°, intensity 32, (2 4 0); 45.11°, intensity 16, (0 0 2); 65.28°, intensity 10, (0 8 0); 65.49°, intensity 20, (2 4 2)

Structural model:
```
data_CdAg2Pd5
_cell_length_a 5.7178
_cell_length_b 11.4345
_cell_length_c 4.0201
_cell_angle_alpha 90.00
_cell_angle_beta 90.00
_cell_angle_gamma 90.00
_symmetry_space_group_name_H-M 'P b a m'
_symmetry_Int_Tables_number 55
loop_
_symmetry_equiv_pos_as_xyz
'x,y,z'
'-x,-y,-z'
'-x,-y,z'
'x,y,-z'
'x+1/2,-y+1/2,-z'
'-x+1/2,y+1/2,z'
'-x+1/2,y+1/2,-z'
'x+1/2,-y+1/2,z'
loop_
_atom_site_label
_atom_site_type_symbol
_atom_site_fract_x
_atom_site_fract_y
_atom_site_fract_z
Cd1 Cd 0.0000 0.0000 0.0000
Ag1 Ag 0.2407 0.3720 0.5000
Pd1 Pd 0.0000 0.5000 0.0000
Pd2 Pd 0.0070 0.7497 0.0000
Pd3 Pd 0.2465 0.1252 0.5000
```

(2)
Cd7AgPd4: simulated powder X-ray diffraction pattern (a wavelength of 1.5418 Å), based on the PBE geometry in Alexandria.
No peak broadening, texture or thermal motion is included.

Peak list (6 most intense, 5 to 70 degrees two-theta, by angle)
31.08°, intensity 25, (4 0 -3); 35.88°, intensity 99, (0 2 0); 38.40°, intensity 59, (2 0 -4); 38.82°, intensity 100, (3 1 1); 40.45°, intensity 79, (5 1 -3); 53.56°, intensity 44, (2 2 -4)

Structural model:
```
data_Cd7AgPd4
_cell_length_a 12.8191
_cell_length_b 5.0058
_cell_length_c 9.7128
_cell_angle_alpha 90.00
_cell_angle_beta 126.58
_cell_angle_gamma 90.00
_symmetry_space_group_name_H-M 'C 1 2/m 1'
_symmetry_Int_Tables_number 12
loop_
_symmetry_equiv_pos_as_xyz
'x,y,z'
'-x,-y,-z'
'-x,y,-z'
'x,-y,z'
'x+1/2,y+1/2,z'
'-x+1/2,-y+1/2,-z'
'-x+1/2,y+1/2,-z'
'x+1/2,-y+1/2,z'
loop_
_atom_site_label
_atom_site_type_symbol
_atom_site_fract_x
_atom_site_fract_y
_atom_site_fract_z
Cd1 Cd 0.0000 0.0000 0.0000
Cd2 Cd 0.0714 0.5000 0.3374
Cd3 Cd 0.1601 0.0000 0.5957
Cd4 Cd 0.2132 0.5000 0.8688
Ag1 Ag 0.0000 0.5000 0.0000
Pd1 Pd 0.0662 0.0000 0.7806
Pd2 Pd 0.2001 0.0000 0.3426
```

(3)
CdAg6Pd3: simulated powder X-ray diffraction pattern (a wavelength of 1.5418 Å), based on the PBE geometry in Alexandria.
No peak broadening, texture or thermal motion is included.

Peak list (6 most intense, 5 to 70 degrees two-theta, by angle)
38.00°, intensity 20, (1 4 0); 39.25°, intensity 46, (3 1 1); 39.59°, intensity 41, (0 0 2); 40.20°, intensity 100, (2 3 1); 43.75°, intensity 12, (4 0 0); 56.03°, intensity 12, (1 4 2)

Structural model:
```
data_CdAg6Pd3
_cell_length_a 8.2767
_cell_length_b 9.8853
_cell_length_c 4.5533
_cell_angle_alpha 90.00
_cell_angle_beta 90.00
_cell_angle_gamma 90.00
_symmetry_space_group_name_H-M 'P n n m'
_symmetry_Int_Tables_number 58
loop_
_symmetry_equiv_pos_as_xyz
'x,y,z'
'-x,-y,-z'
'-x,-y,z'
'x,y,-z'
'x+1/2,-y+1/2,-z+1/2'
'-x+1/2,y+1/2,z+1/2'
'-x+1/2,y+1/2,-z+1/2'
'x+1/2,-y+1/2,z+1/2'
loop_
_atom_site_label
_atom_site_type_symbol
_atom_site_fract_x
_atom_site_fract_y
_atom_site_fract_z
Cd1 Cd 0.0000 0.0000 0.0000
Ag1 Ag 0.0393 0.3419 0.0000
Ag2 Ag 0.0680 0.7912 0.5000
Ag3 Ag 0.2456 0.3200 0.5000
Pd1 Pd 0.0000 0.5000 0.5000
Pd2 Pd 0.2208 0.0379 0.5000
```

(4)
Cd5AgPd2: simulated powder X-ray diffraction pattern (a wavelength of 1.5418 Å), based on the PBE geometry in Alexandria.
No peak broadening, texture or thermal motion is included.

Peak list (6 most intense, 5 to 70 degrees two-theta, by angle)
36.84°, intensity 100, (0 4 1); 36.97°, intensity 86, (2 0 1); 37.78°, intensity 13, (2 1 1); 41.65°, intensity 36, (0 0 2); 43.48°, intensity 53, (2 4 0); 61.78°, intensity 36, (2 4 2)

Structural model:
```
data_Cd5AgPd2
_cell_length_a 5.8721
_cell_length_b 11.8054
_cell_length_c 4.3369
_cell_angle_alpha 90.00
_cell_angle_beta 90.00
_cell_angle_gamma 90.00
_symmetry_space_group_name_H-M 'P b a m'
_symmetry_Int_Tables_number 55
loop_
_symmetry_equiv_pos_as_xyz
'x,y,z'
'-x,-y,-z'
'-x,-y,z'
'x,y,-z'
'x+1/2,-y+1/2,-z'
'-x+1/2,y+1/2,z'
'-x+1/2,y+1/2,-z'
'x+1/2,-y+1/2,z'
loop_
_atom_site_label
_atom_site_type_symbol
_atom_site_fract_x
_atom_site_fract_y
_atom_site_fract_z
Cd1 Cd 0.0000 0.0000 0.0000
Cd2 Cd 0.0392 0.2547 0.0000
Cd3 Cd 0.2181 0.6182 0.5000
Ag1 Ag 0.0000 0.5000 0.0000
Pd1 Pd 0.2152 0.8699 0.5000
```

(5)
CdAg3Pd: simulated powder X-ray diffraction pattern (a wavelength of 1.5418 Å), based on the PBE geometry in Alexandria.
No peak broadening, texture or thermal motion is included.

Peak list (6 most intense, 5 to 70 degrees two-theta, by angle)
36.94°, intensity 40, (1 3 1); 37.13°, intensity 53, (0 10 0); 37.28°, intensity 28, (0 2 2); 39.93°, intensity 100, (1 5 1); 44.09°, intensity 23, (1 7 1); 68.81°, intensity 19, (1 15 1)

Structural model:
```
data_CdAg3Pd
_cell_length_a 2.9846
_cell_length_b 24.2152
_cell_length_c 4.9227
_cell_angle_alpha 90.00
_cell_angle_beta 90.00
_cell_angle_gamma 90.00
_symmetry_space_group_name_H-M 'A m a 2'
_symmetry_Int_Tables_number 40
loop_
_symmetry_equiv_pos_as_xyz
'x,y,z'
'-x,-y,z'
'-x+1/2,y,z'
'x+1/2,-y,z'
'x,y+1/2,z+1/2'
'-x,-y+1/2,z+1/2'
'-x+1/2,y+1/2,z+1/2'
'x+1/2,-y+1/2,z+1/2'
loop_
_atom_site_label
_atom_site_type_symbol
_atom_site_fract_x
_atom_site_fract_y
_atom_site_fract_z
Cd1 Cd 0.2500 0.1506 0.0000
Ag1 Ag 0.2500 0.0509 0.3505
Ag2 Ag 0.2500 0.2485 0.6533
Ag3 Ag 0.2500 0.4496 0.3460
Pd1 Pd 0.2500 0.3501 0.9980
```

(6)
Cd4Ag5Pd: simulated powder X-ray diffraction pattern (a wavelength of 1.5418 Å), based on the PBE geometry in Alexandria.
No peak broadening, texture or thermal motion is included.

Peak list (6 most intense, 5 to 70 degrees two-theta, by angle)
36.93°, intensity 100, (1 2 2); 37.12°, intensity 98, (2 0 1); 41.54°, intensity 35, (1 0 3); 41.84°, intensity 35, (-1 2 1); 45.58°, intensity 27, (2 2 0); 60.43°, intensity 22, (2 -2 2)

Structural model:
```
data_Cd4Ag5Pd
_cell_length_a 5.0157
_cell_length_b 5.8935
_cell_length_c 6.8683
_cell_angle_alpha 76.56
_cell_angle_beta 73.75
_cell_angle_gamma 77.11
_symmetry_space_group_name_H-M 'P -1'
_symmetry_Int_Tables_number 2
loop_
_symmetry_equiv_pos_as_xyz
'x,y,z'
'-x,-y,-z'
loop_
_atom_site_label
_atom_site_type_symbol
_atom_site_fract_x
_atom_site_fract_y
_atom_site_fract_z
Cd1 Cd 0.1049 0.3964 0.3082
Cd2 Cd 0.3065 0.2040 0.8875
Ag1 Ag 0.1012 0.9036 0.2985
Ag2 Ag 0.2965 0.7003 0.8968
Ag3 Ag 0.5000 0.0000 0.5000
Pd1 Pd 0.5000 0.5000 0.5000
```